For TlCrB2Cl8, the PBE geometry in Alexandria gives the simulated X-ray powder pattern in this record (Cu Kα (weighted mean of Kα1 and Kα2)).
Lines closer than 0.1° are merged.

Top 6 peaks for 10° ≤ 2θ ≤ 90°, sorted by position:
index	d [Å]	two_theta	I_rel
0 1 2	4.916	18.0	34
1 0 4	4.178	21.3	100
0 0 9	3.050	29.3	28
1 1 0	3.040	29.4	30
1 1 3	2.885	31.0	81
2 -1 6	2.532	35.5	90

Structure:
```
data_TlCrB2Cl8
_chemical_formula_sum 'Tl3 Cr3 B6 Cl24'
_cell_length_a 6.0800
_cell_length_b 6.0800
_cell_length_c 27.4527
_cell_angle_alpha 90.00
_cell_angle_beta 90.00
_cell_angle_gamma 120.00
_symmetry_space_group_name_H-M 'R -3'
_symmetry_Int_Tables_number 148
_symmetry_space_group_name_Hall '-R 3'
loop_
_atom_site_label
_atom_site_type_symbol
_atom_site_fract_x
_atom_site_fract_y
_atom_site_fract_z
Tl1 Tl 0.0000 0.0000 0.0000
Cr1 Cr 0.0000 0.0000 0.5000
B1 B 0.0000 0.0000 0.2483
Cl1 Cl 0.0000 0.0000 0.3159
Cl2 Cl 0.0022 0.7095 0.7737
```